Entry 1:
# Hf5Al3C
Simulated powder X-ray diffraction pattern, a wavelength of 1.5418 Å. Input: DFT lattice parameters and positions (GGA-PBE).
Kinematic intensities with the Lorentz-polarization factor, no thermal factor.

Crystal structure
Cell: 8.1588 8.1588 5.6881 Å, 90.00 90.00 120.00°
Space group P6_3/mcm (No. 193)
One atom of each set of equivalent atoms:
Hf (0.0000, 0.2241, 0.2500) x6
Hf (0.3333, 0.6667, 0.0000) x4
Al (0.0000, 0.4026, 0.7500) x6
C (0.0000, 0.0000, 0.0000) x2

Most intense lines, 2θ from 15° to 90°, sorted by position:
2theta	I/Imax	h k l
21.8	26	1 1 0
25.2	29	2 0 0
26.9	36	1 1 1
33.6	57	2 1 0
34.0	52	1 0 2
37.2	100	2 1 1
38.2	22	3 0 0
38.6	65	1 1 2
55.4	28	2 2 2
59.8	25	2 1 3
60.0	29	4 1 0
61.8	24	4 0 2

Entry 2:
# NaAgC2
Simulated powder X-ray diffraction pattern, a wavelength of 1.5418 Å. Input: DFT lattice parameters and positions (GGA-PBE).
Kinematic intensities with the Lorentz-polarization factor, no thermal factor.

Crystal structure
Cell: 3.7825 3.7825 5.3480 Å, 90.00 90.00 90.00°
Space group P4/mmm (No. 123)
One atom of each set of equivalent atoms:
Na (0.0000, 0.0000, 0.0000) x1
Ag (0.5000, 0.5000, 0.5000) x1
C (0.5000, 0.5000, 0.1167) x2

Most intense lines, 2θ from 15° to 90°, sorted by position:
2theta	I/Imax	h k l
16.6	30	0 0 1
23.5	73	1 0 0
28.9	100	1 0 1
33.5	82	1 1 0
37.6	18	1 1 1
41.4	21	1 0 2
48.1	51	2 0 0
57.1	49	1 0 3
59.9	15	2 0 2
77.8	21	2 1 3
80.3	19	3 1 0
89.8	14	3 1 2

Entry 3:
# Ge2Mo
Simulated powder X-ray diffraction pattern, a wavelength of 1.5418 Å. Input: DFT lattice parameters and positions (GGA-PBE).
Kinematic intensities with the Lorentz-polarization factor, no thermal factor.

Crystal structure
Cell: 3.3445 3.3445 8.2805 Å, 90.00 90.00 90.00°
Space group I4/mmm (No. 139)
One atom of each set of equivalent atoms:
Ge (0.0000, 0.0000, 0.1613) x4
Mo (0.0000, 0.0000, 0.5000) x2

Most intense lines, 2θ from 15° to 90°, sorted by position:
2theta	I/Imax	h k l
21.5	3	0 0 2
28.8	2	1 0 1
38.0	69	1 1 0
42.5	100	1 0 3
44.1	1	1 1 2
54.9	23	2 0 0
62.6	1	1 0 5
67.9	6	0 0 6
71.8	41	2 1 3
80.6	15	1 1 6
81.4	7	2 2 0
88.0	1	2 1 5

Entry 4:
# Sr2TiRuO6
Simulated powder X-ray diffraction pattern, a wavelength of 1.5418 Å. Input: DFT lattice parameters and positions (GGA-PBE).
Kinematic intensities with the Lorentz-polarization factor, no thermal factor.

Crystal structure
Cell: 3.9474 3.9474 7.9557 Å, 90.00 90.00 90.00°
Space group P4/mmm (No. 123)
One atom of each set of equivalent atoms:
Sr (0.0000, 0.0000, 0.2470) x2
Ti (0.5000, 0.5000, 0.0000) x1
Ru (0.5000, 0.5000, 0.5000) x1
O (0.0000, 0.5000, 0.0000) x2
O (0.0000, 0.5000, 0.5000) x2
O (0.5000, 0.5000, 0.2459) x2

Most intense lines, 2θ from 15° to 90°, sorted by position:
2theta	I/Imax	h k l
31.9	100	1 0 2
32.1	50	1 1 0
39.4	10	1 1 2
45.6	18	0 0 4
46.0	36	2 0 0
56.8	19	1 1 4
57.1	38	2 1 2
66.8	21	2 0 4
67.1	11	2 2 0
75.7	8	1 0 6
76.2	16	3 1 0
84.9	11	2 2 4

Entry 5:
# YGa2Ni3
Simulated powder X-ray diffraction pattern, a wavelength of 1.5418 Å. Input: DFT lattice parameters and positions (GGA-PBE).
Kinematic intensities with the Lorentz-polarization factor, no thermal factor.

Crystal structure
Cell: 8.9342 8.9342 3.9232 Å, 90.00 90.00 120.00°
Space group P6/mmm (No. 191)
One atom of each set of equivalent atoms:
Y (0.0000, 0.0000, 0.0000) x1
Y (0.3333, 0.6667, 0.5000) x2
Ga (0.0000, 0.3176, 0.5000) x6
Ni (0.0000, 0.5000, 0.0000) x3
Ni (0.1796, 0.3593, 0.0000) x6

Most intense lines, 2θ from 15° to 90°, sorted by position:
2theta	I/Imax	h k l
32.5	21	2 0 1
34.8	40	3 0 0
38.4	35	2 1 1
40.4	40	2 2 0
41.9	100	3 0 1
46.3	40	0 0 2
46.8	63	2 2 1
59.2	17	3 0 2
63.1	20	2 2 2
67.3	17	3 3 1
73.4	23	6 0 0
82.7	13	3 0 3

Entry 6:
# AlCo2Si2
Simulated powder X-ray diffraction pattern, a wavelength of 1.5418 Å. Input: DFT lattice parameters and positions (GGA-PBE).
Kinematic intensities with the Lorentz-polarization factor, no thermal factor.

Crystal structure
Cell: 3.9304 3.9304 4.6313 Å, 90.00 90.00 120.00°
Space group P-3m1 (No. 164)
One atom of each set of equivalent atoms:
Al (0.0000, 0.0000, 0.0000) x1
Co (0.3333, 0.6667, 0.8373) x2
Si (0.3333, 0.6667, 0.3479) x2

Most intense lines, 2θ from 15° to 90°, sorted by position:
2theta	I/Imax	h k l
19.2	27	0 0 1
26.2	46	1 0 0
32.6	34	1 0 1
46.2	97	1 1 0
47.5	100	1 0 2
50.4	12	1 1 1
53.9	5	2 0 0
57.7	6	0 2 1
68.4	32	0 2 2
85.6	15	3 0 0
86.6	33	2 1 2
89.4	13	0 1 4